The following is a simulated powder XRD pattern of Nd7Er3Sc. It was derived from a structure optimized by DFT (PBE), using copper Kα.
Intensities are scaled so that the largest is 100.

Most intense lines, 2θ from 10° to 80°, in order of rising 2θ:
| 2θ/deg | I (rel.) | index |
| --- | --- | --- |
| 24.69 | 20 | 0 2 2 |
| 31.49 | 89 | 2 -1 0 |
| 31.62 | 66 | 2 2 2 |
| 31.85 | 26 | 2 3 0 |
| 32.14 | 52 | 0 0 4 |
| 32.59 | 100 | 0 3 2 |
| 45.64 | 20 | 2 -1 4 |
| 52.02 | 17 | 4 2 0 |
| 57.60 | 18 | 0 3 6 |
| 62.48 | 29 | 4 2 4 |

a = 7.0315 Å, b = 10.0728 Å, c = 11.1386 Å
α = 90.00°, β = 90.00°, γ = 70.15°
Fractional positions:
Nd 0.0000 0.0000 0.0000
Nd 0.0002 0.9997 0.4630
Nd 0.0585 0.8447 0.7314
Nd 0.1158 0.7603 0.2314
Nd 0.2506 0.4948 0.7316
Nd 0.3195 0.3573 0.0264
Nd 0.3199 0.3566 0.4371
Nd 0.5134 0.9898 0.5263
Nd 0.5131 0.9906 0.9372
Nd 0.5838 0.8522 0.2316
Nd 0.7168 0.5868 0.7314
Nd 0.7781 0.5021 0.2314
Nd 0.8334 0.3471 0.9630
Nd 0.8336 0.3468 0.5000
Er 0.1516 0.1821 0.7316
Er 0.1740 0.1495 0.2315
Er 0.4173 0.6735 0.9820
Er 0.4176 0.6729 0.4807
Er 0.6601 0.1968 0.7315
Er 0.6817 0.1657 0.2316
Sc 0.9172 0.6734 0.4818
Sc 0.9170 0.6739 0.9810